1.
This entry pairs a crystal structure of Pa3W with its computed PXRD pattern. Radiation: copper Kα. Structure: a DFT-relaxed cell (GGA-PBE, the Materials Project).
Neutral-atom scattering factors, no anomalous dispersion.

Peak list (10 most intense, 10° ≤ 2θ ≤ 90°, sorted by position)
d [Å], Rel. int.
3.926, 1
2.583, 100
2.493, 23
2.135, 29
1.622, 25
1.510, 10
1.456, 18
1.304, 25
1.292, 12
1.247, 3

Structure:
Cell lengths 5.8301, 5.8301, 5.8301 Å; angles 137.03, 137.03, 62.40 degrees
Sites, in units of the cell vectors:
Pa: 0.0000 0.0000 0.0000
Pa: 0.2500 0.7500 0.5000
Pa: 0.7500 0.2500 0.5000
W: 0.5000 0.5000 0.0000

2.
This entry pairs a crystal structure of Pd3Pb with its computed PXRD pattern. Radiation: copper Kα. Structure: a DFT-relaxed cell (GGA-PBE, the Materials Project).
Neutral-atom scattering factors, no anomalous dispersion.

Peak list (12 most intense, 10° ≤ 2θ ≤ 90°, sorted by position)
d [Å], Rel. int.
4.120, 9
2.913, 8
2.379, 100
2.060, 49
1.843, 5
1.682, 4
1.457, 32
1.373, 3
1.303, 2
1.242, 38
1.189, 11
1.101, 2

Structure:
Cell lengths 4.1203, 4.1203, 4.1203 Å; angles 90.00, 90.00, 90.00 degrees
Sites, in units of the cell vectors:
Pd: 0.0000 0.0000 0.5000
Pd: 0.0000 0.5000 0.0000
Pd: 0.5000 0.0000 0.0000
Pb: 0.5000 0.5000 0.5000

3.
This entry pairs a crystal structure of PdPb2 with its computed PXRD pattern. Radiation: copper Kα. Structure: a DFT-relaxed cell (GGA-PBE, the Materials Project).
Neutral-atom scattering factors, no anomalous dispersion.

Peak list (12 most intense, 10° ≤ 2θ ≤ 90°, sorted by position)
d [Å], Rel. int.
2.960, 14
2.780, 100
2.545, 19
2.266, 26
2.227, 29
1.672, 23
1.641, 18
1.513, 10
1.448, 19
1.291, 9
1.277, 11
1.233, 9

Structure:
Cell lengths 5.7930, 5.7930, 5.7930 Å; angles 105.14, 105.14, 118.54 degrees
Sites, in units of the cell vectors:
Pd: 0.2500 0.2500 0.0000
Pd: 0.7500 0.7500 0.0000
Pb: 0.1633 0.6633 0.8266
Pb: 0.3367 0.1633 0.5000
Pb: 0.6633 0.8367 0.5000
Pb: 0.8367 0.3367 0.1734

4.
This entry pairs a crystal structure of Pd5Pb3 with its computed PXRD pattern. Radiation: copper Kα. Structure: a DFT-relaxed cell (GGA-PBE, the Materials Project).
Neutral-atom scattering factors, no anomalous dispersion.

Peak list (12 most intense, 10° ≤ 2θ ≤ 90°, sorted by position)
d [Å], Rel. int.
3.281, 23
3.253, 22
3.240, 24
2.923, 23
2.361, 51
2.342, 53
2.330, 50
2.270, 48
2.263, 100
1.462, 15
1.317, 15
1.232, 15

Structure:
Cell lengths 7.3651, 7.3651, 7.4599 Å; angles 116.01, 116.01, 64.21 degrees
Sites, in units of the cell vectors:
Pd: 0.0057 0.3306 0.8325
Pd: 0.0812 0.0812 0.4120
Pd: 0.2493 0.2425 0.2414
Pd: 0.4243 0.4101 0.0851
Pd: 0.4977 0.1634 0.6563
Pd: 0.5899 0.5757 0.9149
Pd: 0.6694 0.9943 0.1675
Pd: 0.7575 0.7507 0.7586
Pd: 0.8366 0.5023 0.3437
Pd: 0.9188 0.9188 0.5880
Pb: 0.0379 0.6608 0.2070
Pb: 0.1705 0.5369 0.7102
Pb: 0.3392 0.9621 0.7930
Pb: 0.4632 0.8295 0.2898
Pb: 0.6329 0.3671 0.5000
Pb: 0.8627 0.1373 0.0000

5.
This entry pairs a crystal structure of PmPd2Pb with its computed PXRD pattern. Radiation: copper Kα. Structure: a DFT-relaxed cell (GGA-PBE, the Materials Project).
Neutral-atom scattering factors, no anomalous dispersion.

Peak list (12 most intense, 10° ≤ 2θ ≤ 90°, sorted by position)
d [Å], Rel. int.
4.044, 2
3.502, 7
2.476, 100
2.112, 1
2.022, 2
1.751, 18
1.607, 1
1.566, 3
1.430, 36
1.238, 11
1.167, 2
1.107, 17

Structure:
Cell lengths 4.9526, 4.9526, 4.9526 Å; angles 60.00, 60.00, 60.00 degrees
Sites, in units of the cell vectors:
Pm: 0.0000 0.0000 0.0000
Pd: 0.2500 0.2500 0.2500
Pd: 0.7500 0.7500 0.7500
Pb: 0.5000 0.5000 0.5000

6.
This entry pairs a crystal structure of Pd3Pb2S2 with its computed PXRD pattern. Radiation: copper Kα. Structure: a DFT-relaxed cell (GGA-PBE, the Materials Project).
Neutral-atom scattering factors, no anomalous dispersion.

Peak list (12 most intense, 10° ≤ 2θ ≤ 90°, sorted by position)
d [Å], Rel. int.
5.999, 20
4.242, 36
3.463, 24
2.999, 75
2.683, 16
2.449, 100
2.121, 66
1.897, 21
1.732, 31
1.500, 41
1.279, 39
1.134, 15

Structure:
Cell lengths 7.3470, 7.3470, 7.3470 Å; angles 109.47, 109.47, 109.47 degrees
Sites, in units of the cell vectors:
Pd: 0.2321 0.7500 0.9821
Pd: 0.2500 0.5179 0.2679
Pd: 0.2679 0.2500 0.5179
Pd: 0.5179 0.2679 0.2500
Pd: 0.7500 0.9821 0.2321
Pd: 0.9821 0.2321 0.7500
Pb: 0.0000 0.5048 0.5000
Pb: 0.5000 0.0000 0.5048
Pb: 0.5048 0.5000 0.0000
Pb: 0.9952 0.9952 0.9952
S: 0.0000 0.9502 0.5000
S: 0.5000 0.0000 0.9502
S: 0.5498 0.5498 0.5498
S: 0.9502 0.5000 0.0000

7.
This entry pairs a crystal structure of Pd3Pb2S2 with its computed PXRD pattern. Radiation: copper Kα. Structure: a DFT-relaxed cell (GGA-PBE, the Materials Project).
Neutral-atom scattering factors, no anomalous dispersion.

Peak list (12 most intense, 10° ≤ 2θ ≤ 90°, sorted by position)
d [Å], Rel. int.
4.689, 32
4.219, 45
3.044, 52
2.926, 43
2.591, 29
2.469, 100
2.345, 32
2.109, 86
1.734, 19
1.522, 31
1.463, 24
1.277, 28

Structure:
Cell lengths 5.8603, 5.8603, 5.8603 Å; angles 62.59, 62.59, 62.59 degrees
Sites, in units of the cell vectors:
Pd: 0.0000 0.5000 0.5000
Pd: 0.5000 0.0000 0.5000
Pd: 0.5000 0.5000 0.0000
Pb: 0.0000 0.0000 0.0000
Pb: 0.5000 0.5000 0.5000
S: 0.2211 0.2211 0.2211
S: 0.7789 0.7789 0.7789

8.
This entry pairs a crystal structure of TbPd2Pb with its computed PXRD pattern. Radiation: copper Kα. Structure: a DFT-relaxed cell (GGA-PBE, the Materials Project).
Neutral-atom scattering factors, no anomalous dispersion.

Peak list (11 most intense, 10° ≤ 2θ ≤ 90°, sorted by position)
d [Å], Rel. int.
3.993, 1
3.458, 8
2.445, 100
2.085, 1
1.996, 2
1.729, 18
1.546, 3
1.412, 36
1.222, 11
1.153, 2
1.093, 17

Structure:
Cell lengths 4.8900, 4.8900, 4.8900 Å; angles 60.00, 60.00, 60.00 degrees
Sites, in units of the cell vectors:
Tb: 0.0000 0.0000 0.0000
Pd: 0.2500 0.2500 0.2500
Pd: 0.7500 0.7500 0.7500
Pb: 0.5000 0.5000 0.5000

9.
This entry pairs a crystal structure of TlPdPb with its computed PXRD pattern. Radiation: copper Kα. Structure: a DFT-relaxed cell (GGA-PBE, the Materials Project).
Neutral-atom scattering factors, no anomalous dispersion.

Peak list (12 most intense, 10° ≤ 2θ ≤ 90°, sorted by position)
d [Å], Rel. int.
3.016, 28
2.806, 100
2.703, 90
2.588, 19
2.547, 19
2.273, 56
2.228, 29
2.150, 24
1.698, 23
1.674, 22
1.596, 19
1.469, 20

Structure:
Cell lengths 6.9319, 5.8768, 5.6303 Å; angles 74.05, 54.60, 51.35 degrees
Sites, in units of the cell vectors:
Tl: 0.1667 0.8333 0.1667
Tl: 0.8333 0.1667 0.8333
Pd: 0.2500 0.2500 0.2500
Pd: 0.7500 0.7500 0.7500
Pb: 0.3353 0.3353 0.6647
Pb: 0.6647 0.6647 0.3353

10.
This entry pairs a crystal structure of Tl2Pd9Pb with its computed PXRD pattern. Radiation: copper Kα. Structure: a DFT-relaxed cell (GGA-PBE, the Materials Project).
Neutral-atom scattering factors, no anomalous dispersion.

Peak list (12 most intense, 10° ≤ 2θ ≤ 90°, sorted by position)
d [Å], Rel. int.
4.091, 6
3.979, 3
2.936, 3
2.636, 2
2.363, 100
2.076, 34
1.990, 15
1.468, 11
1.437, 21
1.247, 26
1.209, 12
1.181, 11

Structure:
Cell lengths 12.2938, 12.2938, 12.2938 Å; angles 160.55, 160.55, 27.64 degrees
Sites, in units of the cell vectors:
Tl: 0.0000 0.0000 0.0000
Tl: 0.1651 0.1651 0.0000
Pd: 0.0832 0.5833 0.5000
Pd: 0.2486 0.7486 0.5000
Pd: 0.3301 0.3301 0.0000
Pd: 0.4151 0.9151 0.5000
Pd: 0.4993 0.4993 0.0000
Pd: 0.5833 0.0832 0.5000
Pd: 0.6666 0.6666 0.0000
Pd: 0.7486 0.2486 0.5000
Pd: 0.9151 0.4151 0.5000
Pb: 0.8332 0.8332 0.0000

11.
This entry pairs a crystal structure of Tm2Pd2Pb with its computed PXRD pattern. Radiation: copper Kα. Structure: a DFT-relaxed cell (GGA-PBE, the Materials Project).
Neutral-atom scattering factors, no anomalous dispersion.

Peak list (12 most intense, 10° ≤ 2θ ≤ 90°, sorted by position)
d [Å], Rel. int.
2.986, 9
2.803, 11
2.635, 30
2.503, 100
1.923, 6
1.764, 9
1.688, 8
1.651, 10
1.443, 15
1.423, 10
1.359, 10
1.181, 6

Structure:
Cell lengths 7.9269, 7.9269, 3.5283 Å; angles 90.00, 90.00, 90.00 degrees
Sites, in units of the cell vectors:
Tm: 0.1693 0.3307 0.0000
Tm: 0.3307 0.8307 0.0000
Tm: 0.6693 0.1693 0.0000
Tm: 0.8307 0.6693 0.0000
Pd: 0.1259 0.6259 0.5000
Pd: 0.3741 0.1259 0.5000
Pd: 0.6259 0.8741 0.5000
Pd: 0.8741 0.3741 0.5000
Pb: 0.0000 0.0000 0.5000
Pb: 0.5000 0.5000 0.5000

12.
This entry pairs a crystal structure of YPdPb with its computed PXRD pattern. Radiation: copper Kα. Structure: a DFT-relaxed cell (GGA-PBE, the Materials Project).
Neutral-atom scattering factors, no anomalous dispersion.

Peak list (12 most intense, 10° ≤ 2θ ≤ 90°, sorted by position)
d [Å], Rel. int.
3.940, 18
3.876, 18
2.763, 100
2.579, 51
2.561, 60
2.275, 46
2.147, 44
1.938, 21
1.549, 22
1.475, 23
1.452, 36
1.169, 16

Structure:
Cell lengths 7.8795, 7.8795, 3.8756 Å; angles 90.00, 90.00, 120.00 degrees
Sites, in units of the cell vectors:
Y: 0.0000 0.3983 0.0000
Y: 0.3983 0.0000 0.0000
Y: 0.6017 0.6017 0.0000
Pd: 0.0000 0.0000 0.0000
Pd: 0.3333 0.6667 0.5000
Pd: 0.6667 0.3333 0.5000
Pb: 0.0000 0.7333 0.5000
Pb: 0.2667 0.2667 0.5000
Pb: 0.7333 0.0000 0.5000

13.
This entry pairs a crystal structure of Y2Pd2Pb with its computed PXRD pattern. Radiation: copper Kα. Structure: a DFT-relaxed cell (GGA-PBE, the Materials Project).
Neutral-atom scattering factors, no anomalous dispersion.

Peak list (12 most intense, 10° ≤ 2θ ≤ 90°, sorted by position)
d [Å], Rel. int.
3.640, 22
3.056, 18
2.812, 27
2.685, 66
2.544, 100
2.515, 94
2.069, 35
1.820, 20
1.778, 13
1.666, 13
1.474, 36
1.434, 28

Structure:
Cell lengths 7.9522, 7.9522, 3.6402 Å; angles 90.00, 90.00, 90.00 degrees
Sites, in units of the cell vectors:
Y: 0.1717 0.3283 0.0000
Y: 0.3283 0.8283 0.0000
Y: 0.6717 0.1717 0.0000
Y: 0.8283 0.6717 0.0000
Pd: 0.1251 0.6251 0.5000
Pd: 0.3749 0.1251 0.5000
Pd: 0.6251 0.8749 0.5000
Pd: 0.8749 0.3749 0.5000
Pb: 0.0000 0.0000 0.5000
Pb: 0.5000 0.5000 0.5000

14.
This entry pairs a crystal structure of YPdPb with its computed PXRD pattern. Radiation: copper Kα. Structure: a DFT-relaxed cell (GGA-PBE, the Materials Project).
Neutral-atom scattering factors, no anomalous dispersion.

Peak list (12 most intense, 10° ≤ 2θ ≤ 90°, sorted by position)
d [Å], Rel. int.
4.006, 13
2.799, 100
2.623, 30
2.596, 64
2.313, 43
2.179, 15
1.956, 18
1.925, 18
1.727, 17
1.494, 22
1.475, 27
1.308, 15

Structure:
Cell lengths 8.0129, 8.0129, 3.9122 Å; angles 90.00, 90.00, 120.00 degrees
Sites, in units of the cell vectors:
Y: 0.0000 0.7234 0.0000
Y: 0.2766 0.2766 0.0000
Y: 0.7234 0.0000 0.0000
Pd: 0.0000 0.0000 0.5000
Pd: 0.3333 0.6667 0.0000
Pd: 0.6667 0.3333 0.0000
Pb: 0.0000 0.3982 0.5000
Pb: 0.3982 0.0000 0.5000
Pb: 0.6018 0.6018 0.5000

15.
This entry pairs a crystal structure of PmRh2Pb with its computed PXRD pattern. Radiation: copper Kα. Structure: a DFT-relaxed cell (GGA-PBE, the Materials Project).
Neutral-atom scattering factors, no anomalous dispersion.

Peak list (12 most intense, 10° ≤ 2θ ≤ 90°, sorted by position)
d [Å], Rel. int.
3.955, 2
3.426, 7
2.422, 100
2.066, 1
1.978, 2
1.713, 17
1.572, 1
1.532, 3
1.398, 36
1.211, 11
1.158, 1
1.142, 2

Structure:
Cell lengths 4.8445, 4.8445, 4.8445 Å; angles 60.00, 60.00, 60.00 degrees
Sites, in units of the cell vectors:
Pm: 0.0000 0.0000 0.0000
Rh: 0.2500 0.2500 0.2500
Rh: 0.7500 0.7500 0.7500
Pb: 0.5000 0.5000 0.5000